Entry 1:
Starting from the GGA-PBE geometry in Alexandria, the XRD peak list of PmDyHo4 was simulated for a wavelength of 1.5418 Å.

abc: 5.6644 22.3022 6.0842
angles: 90.00 90.00 90.00
Space group Imma (No. 74)
Symmetry-distinct sites (fractional):
Pm 0.0000 0.0000 0.0000
Dy 0.0000 0.2500 0.4230
Ho 0.0000 0.0912 0.4335
Ho 0.0000 0.1684 0.9223

Largest 10 diffraction maxima, by intensity, 10 to 80 degrees two-theta:
hkl  2θ (°)  d (Å)  I_rel
1 6 1  32.35  2.768  100
2 0 0  31.59  2.832  33
1 1 2  33.68  2.661  30
3 6 1  56.74  1.622  20
0 0 2  29.36  3.042  18
2 0 2  43.67  2.073  12
2 12 0  59.49  1.554  10
2 7 3  63.53  1.464  9
0 12 0  49.01  1.859  9
0 7 3  53.57  1.711  8

***

Entry 2:
Starting from the GGA-PBE geometry in Alexandria, the XRD peak list of Pm2Dy6Ho3 was simulated for a wavelength of 1.5418 Å.

abc: 6.1017 10.5841 11.6698
angles: 90.00 100.16 90.00
Space group C2/m (No. 12)
Symmetry-distinct sites (fractional):
Pm 0.0000 0.1666 0.0000
Dy 0.2492 0.1667 0.7474
Dy 0.2504 0.0000 0.2525
Ho 0.0000 0.0000 0.5000
Ho 0.0000 0.3348 0.5000

Largest 10 diffraction maxima, by intensity, 10 to 80 degrees two-theta:
hkl  2θ (°)  d (Å)  I_rel
1 3 1  31.08  2.878  100
2 0 2  36.06  2.491  67
0 0 4  31.14  2.872  33
4 0 0  61.75  1.502  33
0 6 0  51.88  1.762  32
1 3 5  51.98  1.759  16
3 3 3  61.85  1.500  14
2 6 2  64.79  1.439  12
2 6 -2  61.67  1.504  10
2 6 -6  76.42  1.246  5

***

Entry 3:
Starting from the GGA-PBE geometry in Alexandria, the XRD peak list of Pm3Dy2Ho6 was simulated for a wavelength of 1.5418 Å.

abc: 5.6795 12.0741 10.4409
angles: 90.00 90.09 90.00
Space group C2/m (No. 12)
Symmetry-distinct sites (fractional):
Pm 0.0000 0.0000 0.0000
Pm 0.0000 0.2935 0.0000
Dy 0.0000 0.3672 0.5000
Ho 0.0007 0.1508 0.6984
Ho 0.0008 0.5000 0.7892

Largest 10 diffraction maxima, by intensity, 10 to 80 degrees two-theta:
hkl  2θ (°)  d (Å)  I_rel
1 3 2  32.20  2.780  100
2 0 0  31.50  2.840  41
1 1 3  31.03  2.882  37
0 4 1  30.84  2.900  20
1 7 3  62.26  1.491  16
2 4 5  63.28  1.469  15
2 4 -1  44.66  2.029  15
0 0 4  34.36  2.610  14
0 4 5  53.35  1.717  12
3 3 -2  56.50  1.629  12

***

Entry 4:
Starting from the GGA-PBE geometry in Alexandria, the XRD peak list of Pm3Dy6Ho was simulated for a wavelength of 1.5418 Å.

abc: 10.9404 18.9030 6.3354
angles: 90.00 90.00 90.00
Space group Cmc2_1 (No. 36)
Symmetry-distinct sites (fractional):
Pm 0.0000 0.1121 0.0000
Pm 0.1747 0.3869 0.3909
Dy 0.0000 0.2268 0.5776
Dy 0.0000 0.4600 0.8048
Dy 0.1670 0.0454 0.4768
Dy 0.2396 0.2096 0.2979
Ho 0.0000 0.3035 0.0596

Largest 10 diffraction maxima, by intensity, 10 to 80 degrees two-theta:
hkl  2θ (°)  d (Å)  I_rel
0 6 1  31.70  2.823  100
2 4 1  28.66  3.115  69
2 2 2  34.07  2.632  53
4 0 0  32.69  2.739  28
1 1 2  29.74  3.004  19
6 0 0  50.09  1.821  15
3 3 0  28.28  3.155  14
3 5 0  34.16  2.625  14
2 4 3  50.17  1.818  13
6 0 2  58.44  1.579  11

***

Entry 5:
Starting from the GGA-PBE geometry in Alexandria, the XRD peak list of PmDy4Ho4 was simulated for a wavelength of 1.5418 Å.

abc: 10.6439 10.6439 5.0035
angles: 90.00 90.00 90.00
Space group I4/mmm (No. 139)
Symmetry-distinct sites (fractional):
Pm 0.0000 0.0000 0.0000
Dy 0.0000 0.3338 0.0000
Ho 0.1672 0.1672 0.5000

Largest 9 diffraction maxima, by intensity, 10 to 80 degrees two-theta:
hkl  2θ (°)  d (Å)  I_rel
3 0 1  30.90  2.894  100
6 0 0  51.57  1.772  36
3 3 0  35.79  2.509  34
6 3 1  61.29  1.512  29
0 0 2  35.90  2.502  17
3 0 3  61.43  1.509  14
6 0 2  64.38  1.447  12
6 6 0  75.84  1.254  4
0 0 4  76.09  1.251  2

***

Entry 6:
Starting from the GGA-PBE geometry in Alexandria, the XRD peak list of Pm3Dy2Ho5 was simulated for a wavelength of 1.5418 Å.

abc: 10.6752 15.9088 9.4027
angles: 90.00 124.47 90.00
Space group C2/c (No. 15)
Symmetry-distinct sites (fractional):
Pm 0.0000 0.2337 0.2500
Pm 0.1444 0.1242 0.0465
Dy 0.1522 0.3817 0.5470
Ho 0.0000 0.0259 0.2500
Ho 0.0000 0.2721 0.7500
Ho 0.0000 0.4708 0.7500
Ho 0.2396 0.3864 0.2300

Largest 10 diffraction maxima, by intensity, 10 to 80 degrees two-theta:
hkl  2θ (°)  d (Å)  I_rel
2 4 0  30.30  2.949  100
2 2 1  30.61  2.920  49
2 2 -3  30.67  2.915  48
4 0 -2  33.58  2.669  46
4 6 -5  60.92  1.521  22
0 4 2  32.25  2.776  22
2 4 -6  67.13  1.394  19
0 6 3  49.24  1.851  19
2 10 1  65.83  1.419  19
2 6 -1  37.89  2.375  17

***

Entry 7:
Starting from the GGA-PBE geometry in Alexandria, the XRD peak list of Pm9Dy11Ho4 was simulated for a wavelength of 1.5418 Å.

abc: 16.7604 25.4768 3.6952
angles: 90.00 90.00 90.00
Space group Cmmm (No. 65)
Symmetry-distinct sites (fractional):
Pm 0.0000 0.0000 0.0000
Pm 0.1033 0.2331 0.0000
Pm 0.1396 0.4261 0.0000
Dy 0.0000 0.1322 0.5000
Dy 0.0000 0.3386 0.5000
Dy 0.0000 0.5000 0.5000
Dy 0.2100 0.0000 0.5000
Dy 0.2252 0.3196 0.5000
Ho 0.1558 0.1004 0.0000

Largest 10 diffraction maxima, by intensity, 10 to 80 degrees two-theta:
hkl  2θ (°)  d (Å)  I_rel
4 6 0  29.96  2.983  100
0 6 1  32.10  2.788  85
4 0 1  32.30  2.771  68
4 6 2  58.79  1.571  23
3 3 1  30.86  2.897  23
0 0 2  49.32  1.848  18
6 0 0  31.99  2.798  11
6 10 1  54.76  1.676  11
5 3 0  28.63  3.118  11
6 2 0  32.82  2.729  10

***

Entry 8:
Starting from the GGA-PBE geometry in Alexandria, the XRD peak list of Pm7DyHo12 was simulated for a wavelength of 1.5418 Å.

abc: 11.9488 11.9488 16.1905
angles: 90.00 90.00 120.00
Space group R-3 (No. 148, hexagonal axes)
Symmetry-distinct sites (fractional):
Pm 0.0000 0.0000 0.0000
Pm 0.0550 0.1884 0.2900
Dy 0.0000 0.0000 0.5000
Ho 0.0242 0.4490 0.2215
Ho 0.0511 0.5862 0.5830

Largest 10 diffraction maxima, by intensity, 10 to 80 degrees two-theta:
hkl  2θ (°)  d (Å)  I_rel
4 -3 1  31.66  2.826  100
3 1 2  33.13  2.704  61
3 -1 4  31.82  2.813  48
0 3 3  30.76  2.906  40
0 1 5  28.89  3.090  27
2 5 0  55.46  1.657  26
2 0 5  32.62  2.745  22
2 -1 6  36.53  2.460  19
7 -6 1  58.84  1.569  18
0 2 4  27.99  3.188  16